For Zr2P2SO12, the PBE geometry in the Materials Project gives the simulated powder XRD pattern in this record (a wavelength of 1.5418 Å).
Lines closer than 0.1° are merged.

Main lines, by angle (2θ = 10–90°):
- 6.452 Å, I = 57, hkl 1 1 -1
- 4.640 Å, I = 100, hkl 2 0 -2
- 4.488 Å, I = 62, hkl 0 2 0
- 3.879 Å, I = 89, hkl 0 2 1
- 3.226 Å, I = 65, hkl 4 0 0
- 2.924 Å, I = 57, hkl 3 1 1
- 2.620 Å, I = 28, hkl 5 1 -3
- 2.591 Å, I = 30, hkl 6 0 -2

Atomic structure:
Unit cell a=15.564 b=8.968 c=9.302 alpha=90.00 beta=124.02 gamma=90.00
Space group Cc (No. 9)
Inequivalent atoms, fractional coordinates:
Zr (0.000, 0.239, 0.000) (multiplicity 4)
Zr (0.289, 0.248, 0.863) (multiplicity 4)
P (0.254, 0.107, 0.182) (multiplicity 4)
P (0.395, 0.463, 0.680) (multiplicity 4)
S (0.041, 0.395, 0.682) (multiplicity 4)
O (0.040, 0.370, 0.837) (multiplicity 4)
O (0.043, 0.443, 0.154) (multiplicity 4)
O (0.135, 0.328, 0.705) (multiplicity 4)
O (0.154, 0.177, 0.151) (multiplicity 4)
O (0.253, 0.062, 0.712) (multiplicity 4)
O (0.256, 0.135, 0.021) (multiplicity 4)
O (0.328, 0.362, 0.713) (multiplicity 4)
O (0.329, 0.438, 0.020) (multiplicity 4)
O (0.351, 0.176, 0.343) (multiplicity 4)
O (0.450, 0.174, 0.026) (multiplicity 4)
O (0.465, 0.439, 0.342) (multiplicity 4)
O (0.466, 0.363, 0.655) (multiplicity 4)


For Sb9PO25, the PBE geometry in the Materials Project gives the simulated powder XRD pattern in this record (a wavelength of 1.5418 Å).
Lines closer than 0.1° are merged.

Main lines, by angle (2θ = 10–90°):
- 4.891 Å, I = 45, hkl 3 1 0
- 3.837 Å, I = 59, hkl 1 0 1
- 3.458 Å, I = 100, hkl 4 2 0
- 3.437 Å, I = 26, hkl 2 1 1
- 2.910 Å, I = 50, hkl 3 2 1
- 2.724 Å, I = 31, hkl 4 1 1
- 2.325 Å, I = 24, hkl 2 5 1
- 2.031 Å, I = 26, hkl 7 3 0

Atomic structure:
Unit cell a=15.465 b=15.465 c=3.961 alpha=90.00 beta=90.00 gamma=90.00
Space group I-4 (No. 82)
Inequivalent atoms, fractional coordinates:
Sb (0.000, 0.000, 0.000) (multiplicity 2)
Sb (0.104, 0.778, 0.017) (multiplicity 8)
Sb (0.121, 0.327, 0.980) (multiplicity 8)
P (0.000, 0.500, 0.750) (multiplicity 2)
O (0.000, 0.000, 0.500) (multiplicity 2)
O (0.015, 0.266, 0.024) (multiplicity 8)
O (0.052, 0.565, 0.527) (multiplicity 8)
O (0.077, 0.897, 0.996) (multiplicity 8)
O (0.109, 0.740, 0.518) (multiplicity 8)
O (0.146, 0.350, 0.479) (multiplicity 8)
O (0.191, 0.225, 0.973) (multiplicity 8)